Starting from a GGA-PBE-relaxed structure, the X-ray diffraction stick pattern of La2Pm3ScSe6 was computed for Cu Kα.
Intensities are scaled so that the largest is 100.

Peak list (6 most intense, 2θ from 5° to 70°, by intensity)
- hkl 1 1 -2, 2θ = 30.1°, I = 100.0
- hkl 7 1 -2, 2θ = 43.2°, I = 71.9
- hkl 6 0 0, 2θ = 30.2°, I = 48.6
- hkl 6 2 0, 2θ = 53.8°, I = 18.9
- hkl 2 0 -4, 2θ = 42.9°, I = 18.4
- hkl 0 2 0, 2θ = 43.4°, I = 18.4

Atomic structure:
Lattice parameters (Å, degrees): 18.223 4.174 8.429 90.00 103.26 90.00
Space group C2/m (No. 12)
Symmetry-distinct sites (fractional):
La 0.165 0.000 0.333 [4 per cell]
Pm 0.000 0.500 0.500 [2 per cell]
Pm 0.171 0.000 0.836 [4 per cell]
Sc 0.000 0.500 0.000 [2 per cell]
Se 0.004 0.000 0.769 [4 per cell]
Se 0.158 0.500 0.074 [4 per cell]
Se 0.165 0.500 0.588 [4 per cell]